1.
SrCeAs2O8: theoretical PXRD pattern (Cu Ka), based on a cell relaxed with GGA-PBE.

Atomic structure:
Lattice parameters (Å, degrees): 5.188 5.188 11.721 90.00 90.00 90.00
Space group I-4 (No. 82)
One atom of each set of equivalent atoms:
Sr 0.000 0.000 0.000
Ce 0.000 0.500 0.750
As 0.000 0.000 0.500
As 0.000 0.500 0.250
O 0.128 0.246 0.582
O 0.153 0.747 0.178

The 6 most intense peaks (2θ = 10–90°), low angle first:
d 3.110, I 100
d 2.930, I 16
d 2.594, I 19
d 1.942, I 29
d 1.724, I 17
d 1.580, I 27

---

2.
Li2TbPuGe2: theoretical PXRD pattern (Cu Ka), based on a cell relaxed with GGA-PBE.

Atomic structure:
Lattice parameters (Å, degrees): 4.4495 4.4495 7.1836 90.00 90.00 120.00
Space group P-3m1 (No. 164)
One atom of each set of equivalent atoms:
Li 0.3333 0.6667 0.2479
Tb 0.0000 0.0000 0.0000
Pu 0.0000 0.0000 0.5000
Ge 0.3333 0.6667 0.7450

The 6 most intense peaks (2θ = 10–90°), low angle first:
d 3.853, I 57
d 2.627, I 100
d 2.225, I 43
d 1.698, I 27
d 1.397, I 20
d 1.350, I 26

---

3.
Ta2VIr2: theoretical PXRD pattern (Cu Ka), based on a cell relaxed with GGA-PBE.

Atomic structure:
Lattice parameters (Å, degrees): 7.513 7.513 2.985 90.00 90.00 90.00
Space group P4/mbm (No. 127)
One atom of each set of equivalent atoms:
Ta 0.167 0.333 0.000
V 0.000 0.000 0.500
Ir 0.133 0.633 0.500

The 6 most intense peaks (2θ = 10–90°), low angle first:
d 5.313, I 32
d 2.376, I 37
d 2.231, I 100
d 1.878, I 12
d 1.771, I 13
d 1.264, I 29

---

4.
In2GaBi: theoretical PXRD pattern (Cu Ka), based on a cell relaxed with GGA-PBE.

Atomic structure:
Lattice parameters (Å, degrees): 7.586 7.586 7.586 90.00 90.00 90.00
Space group Fm-3m (No. 225)
One atom of each set of equivalent atoms:
In 0.250 0.250 0.250
Ga 0.000 0.000 0.000
Bi 0.000 0.000 0.500

The 6 most intense peaks (2θ = 10–90°), low angle first:
d 4.380, I 15
d 2.682, I 100
d 1.897, I 18
d 1.549, I 37
d 1.341, I 12
d 1.199, I 16

---

5.
DyZr5Ru6: theoretical PXRD pattern (Cu Ka), based on a cell relaxed with GGA-PBE.

Atomic structure:
Lattice parameters (Å, degrees): 4.655 14.007 6.592 90.00 90.00 90.00
Space group Cmmm (No. 65)
One atom of each set of equivalent atoms:
Dy 0.000 0.000 0.000
Zr 0.000 0.000 0.500
Zr 0.000 0.333 0.000
Zr 0.000 0.333 0.500
Ru 0.000 0.170 0.253
Ru 0.000 0.500 0.257

The 6 most intense peaks (2θ = 10–90°), low angle first:
d 2.332, I 100
d 2.328, I 20
d 1.648, I 20
d 1.347, I 20
d 1.345, I 20
d 1.165, I 8

---

6.
Dy2Co7B3: theoretical PXRD pattern (Cu Ka), based on a cell relaxed with GGA-PBE.

Atomic structure:
Lattice parameters (Å, degrees): 5.0161 5.0161 12.7680 90.00 90.00 120.00
Space group P6/mmm (No. 191)
One atom of each set of equivalent atoms:
Dy 0.0000 0.0000 0.0000
Dy 0.0000 0.0000 0.2390
Dy 0.0000 0.0000 0.5000
Co 0.0000 0.5000 0.1158
Co 0.0000 0.5000 0.3455
Co 0.3333 0.6667 0.5000
B 0.3333 0.6667 0.0000
B 0.3333 0.6667 0.2315

The 6 most intense peaks (2θ = 10–90°), low angle first:
d 4.344, I 28
d 2.572, I 100
d 2.508, I 26
d 2.172, I 90
d 1.972, I 80
d 1.460, I 35

---

7.
Nb3ClO7: theoretical PXRD pattern (Cu Ka), based on a cell relaxed with GGA-PBE.

Atomic structure:
Lattice parameters (Å, degrees): 15.878 11.081 3.906 90.00 90.00 90.00
Space group Pnma (No. 62)
One atom of each set of equivalent atoms:
Nb 0.030 0.250 0.049
Nb 0.164 0.536 0.001
Cl 0.240 0.750 0.008
O 0.024 0.250 0.515
O 0.067 0.626 0.994
O 0.113 0.116 0.007
O 0.200 0.530 0.503

The 6 most intense peaks (2θ = 10–90°), low angle first:
d 4.543, I 100
d 3.793, I 100
d 3.348, I 33
d 3.227, I 58
d 2.734, I 70
d 1.953, I 28

---

8.
Dy3Zn2Ni6: theoretical PXRD pattern (Cu Ka), based on a cell relaxed with GGA-PBE.

Atomic structure:
Lattice parameters (Å, degrees): 8.897 8.897 8.897 90.00 90.00 90.00
Space group Im-3m (No. 229)
One atom of each set of equivalent atoms:
Dy 0.000 0.000 0.295
Zn 0.250 0.250 0.250
Ni 0.000 0.339 0.339

The 6 most intense peaks (2θ = 10–90°), low angle first:
d 3.632, I 22
d 2.813, I 37
d 2.568, I 42
d 2.224, I 23
d 2.097, I 100
d 1.211, I 29